Record 1
The following is a theoretical powder diffractogram of BaAsHAu. It was derived from a crystal structure in Alexandria, relaxed with PBE, using CuKα.

Structural model:
a = 4.5844 Å, b = 4.5844 Å, c = 4.7680 Å
α = 90.00°, β = 90.00°, γ = 120.00°
Fractional coordinates of all 4 atoms:
Ba: 0.0000 0.0000 0.0000
As: 0.3333 0.6667 0.4611
H: 0.6667 0.3333 0.8935
Au: 0.6667 0.3333 0.5231

The 10 most intense peaks (2θ = 10–90°), by angle:
- 18.6°, rel. 11
- 22.4°, rel. 12
- 29.3°, rel. 100
- 37.7°, rel. 16
- 39.3°, rel. 45
- 49.8°, rel. 23
- 55.6°, rel. 30
- 63.0°, rel. 12
- 65.2°, rel. 21
- 89.9°, rel. 10

Record 2
The following is a theoretical powder diffractogram of La8Pr3Nd2. It was derived from a crystal structure in Alexandria, relaxed with PBE, using CuKα.

Structural model:
a = 9.1115 Å, b = 9.1115 Å, c = 6.3290 Å
α = 107.82°, β = 107.82°, γ = 81.88°
Fractional coordinates of all 13 atoms:
La: 0.0438 0.0438 0.2822
La: 0.0630 0.5939 0.8332
La: 0.3604 0.3604 0.4264
La: 0.4061 0.9370 0.1668
La: 0.5939 0.0630 0.8332
La: 0.6396 0.6396 0.5736
La: 0.9370 0.4061 0.1668
La: 0.9562 0.9562 0.7178
Pr: 0.2536 0.7464 0.5000
Pr: 0.5000 0.5000 0.0000
Pr: 0.7464 0.2536 0.5000
Nd: 0.2149 0.2149 0.8007
Nd: 0.7851 0.7851 0.1993

The 10 most intense peaks (2θ = 10–90°), by angle:
- 28.3°, rel. 21
- 29.0°, rel. 36
- 29.7°, rel. 29
- 29.9°, rel. 55
- 30.2°, rel. 100
- 31.9°, rel. 26
- 36.7°, rel. 19
- 41.6°, rel. 15
- 52.0°, rel. 15
- 53.3°, rel. 25

Record 3
The following is a theoretical powder diffractogram of Ba2LiHoRuO6. It was derived from a crystal structure in Alexandria, relaxed with PBE, using CuKα.

Structural model:
a = 6.3269 Å, b = 6.3269 Å, c = 6.3269 Å
α = 55.30°, β = 55.30°, γ = 55.30°
Fractional coordinates of all 11 atoms:
Ba: 0.0000 0.0000 0.0000
Ba: 0.4701 0.4701 0.4701
Li: 0.8412 0.8412 0.8412
Ho: 0.6897 0.6897 0.6897
Ru: 0.2071 0.2071 0.2071
O: 0.4398 0.4398 0.9630
O: 0.4398 0.9630 0.4398
O: 0.4553 0.9620 0.9620
O: 0.9620 0.4553 0.9620
O: 0.9620 0.9620 0.4553
O: 0.9630 0.4398 0.4398

The 10 most intense peaks (2θ = 10–90°), by angle:
- 20.7°, rel. 18
- 28.4°, rel. 81
- 30.4°, rel. 100
- 42.1°, rel. 46
- 45.9°, rel. 29
- 52.8°, rel. 29
- 54.1°, rel. 20
- 63.4°, rel. 18
- 70.8°, rel. 12
- 88.0°, rel. 14

Record 4
The following is a theoretical powder diffractogram of Ho3Er2Cu3. It was derived from a crystal structure in Alexandria, relaxed with PBE, using CuKα.

Structural model:
a = 3.5067 Å, b = 5.0687 Å, c = 20.7266 Å
α = 90.00°, β = 90.00°, γ = 90.00°
Fractional coordinates of all 16 atoms:
Ho: 0.0000 0.0000 0.0000
Ho: 0.0000 0.5000 0.1164
Ho: 0.0000 0.5000 0.8836
Ho: 0.5000 0.0000 0.3836
Ho: 0.5000 0.0000 0.6164
Ho: 0.5000 0.5000 0.5000
Er: 0.0000 0.0000 0.2261
Er: 0.0000 0.0000 0.7739
Er: 0.5000 0.5000 0.2739
Er: 0.5000 0.5000 0.7261
Cu: 0.0000 0.0000 0.5000
Cu: 0.0000 0.5000 0.3850
Cu: 0.0000 0.5000 0.6150
Cu: 0.5000 0.0000 0.1150
Cu: 0.5000 0.0000 0.8850
Cu: 0.5000 0.5000 0.0000

The 10 most intense peaks (2θ = 10–90°), by angle:
- 25.8°, rel. 11
- 27.8°, rel. 24
- 34.6°, rel. 17
- 35.4°, rel. 29
- 35.6°, rel. 100
- 47.2°, rel. 9
- 50.4°, rel. 12
- 52.2°, rel. 10
- 63.7°, rel. 18
- 64.6°, rel. 10

Record 5
The following is a theoretical powder diffractogram of TmMg8Pd6. It was derived from a crystal structure in Alexandria, relaxed with PBE, using CuKα.

Structural model:
a = 7.1379 Å, b = 7.1379 Å, c = 7.1379 Å
α = 67.01°, β = 67.01°, γ = 67.01°
Fractional coordinates of all 15 atoms:
Tm: 0.0000 0.0000 0.0000
Mg: 0.1126 0.7791 0.4613
Mg: 0.2209 0.5387 0.8874
Mg: 0.3331 0.3331 0.3331
Mg: 0.4613 0.1126 0.7791
Mg: 0.5387 0.8874 0.2209
Mg: 0.6669 0.6669 0.6669
Mg: 0.7791 0.4613 0.1126
Mg: 0.8874 0.2209 0.5387
Pd: 0.0525 0.3860 0.7116
Pd: 0.2884 0.9475 0.6140
Pd: 0.3860 0.7116 0.0525
Pd: 0.6140 0.2884 0.9475
Pd: 0.7116 0.0525 0.3860
Pd: 0.9475 0.6140 0.2884

The 10 most intense peaks (2θ = 10–90°), by angle:
- 14.0°, rel. 19
- 16.1°, rel. 76
- 27.9°, rel. 61
- 39.6°, rel. 96
- 40.0°, rel. 100
- 43.0°, rel. 38
- 55.3°, rel. 16
- 57.5°, rel. 34
- 71.9°, rel. 16
- 72.1°, rel. 33

Record 6
The following is a theoretical powder diffractogram of PuInBi3. It was derived from a crystal structure in Alexandria, relaxed with PBE, using CuKα.

Structural model:
a = 6.6721 Å, b = 13.8831 Å, c = 6.4803 Å
α = 90.00°, β = 90.05°, γ = 90.00°
Fractional coordinates of all 20 atoms:
Pu: 0.2497 0.1862 0.0109
Pu: 0.2497 0.8138 0.5109
Pu: 0.7503 0.1862 0.4891
Pu: 0.7503 0.8138 0.9891
In: 0.0000 0.3788 0.2500
In: 0.0000 0.6212 0.7500
In: 0.5000 0.3793 0.2500
In: 0.5000 0.6207 0.7500
Bi: 0.0000 0.0013 0.2500
Bi: 0.0000 0.9987 0.7500
Bi: 0.2494 0.4149 0.8174
Bi: 0.2494 0.5851 0.3174
Bi: 0.2504 0.2146 0.5156
Bi: 0.2504 0.7854 0.0156
Bi: 0.5000 0.0013 0.2500
Bi: 0.5000 0.9987 0.7500
Bi: 0.7496 0.2146 0.9844
Bi: 0.7496 0.7854 0.4844
Bi: 0.7506 0.4149 0.6826
Bi: 0.7506 0.5851 0.1826

The 10 most intense peaks (2θ = 10–90°), by angle:
- 29.7°, rel. 59
- 30.4°, rel. 100
- 32.2°, rel. 96
- 32.8°, rel. 34
- 33.1°, rel. 81
- 33.8°, rel. 78
- 38.7°, rel. 53
- 39.3°, rel. 37
- 51.3°, rel. 40
- 65.4°, rel. 26

Record 7
The following is a theoretical powder diffractogram of Tl6InI8. It was derived from a crystal structure in Alexandria, relaxed with PBE, using CuKα.

Structural model:
a = 10.4907 Å, b = 10.4907 Å, c = 6.8221 Å
α = 90.00°, β = 90.00°, γ = 120.00°
Fractional coordinates of all 15 atoms:
Tl: 0.0000 0.3779 0.2217
Tl: 0.0000 0.6221 0.7783
Tl: 0.3778 0.0000 0.2217
Tl: 0.3779 0.3778 0.7783
Tl: 0.6222 0.0000 0.7783
Tl: 0.6221 0.6222 0.2217
In: 0.0000 0.0000 0.0000
I: 0.9999 0.2543 0.7501
I: 0.0001 0.7457 0.2499
I: 0.2544 0.0001 0.7501
I: 0.2543 0.2544 0.2499
I: 0.3333 0.6667 0.9988
I: 0.6667 0.3333 0.0012
I: 0.7456 0.9999 0.2499
I: 0.7457 0.7456 0.7501

The 10 most intense peaks (2θ = 10–90°), by angle:
- 13.0°, rel. 23
- 16.9°, rel. 23
- 21.4°, rel. 32
- 26.1°, rel. 31
- 29.1°, rel. 100
- 29.5°, rel. 76
- 31.3°, rel. 74
- 38.1°, rel. 24
- 43.5°, rel. 21
- 48.0°, rel. 22

Record 8
The following is a theoretical powder diffractogram of Na4SnS4. It was derived from a crystal structure in Alexandria, relaxed with PBE, using CuKα.

Structural model:
a = 7.5418 Å, b = 7.5418 Å, c = 8.4962 Å
α = 90.00°, β = 90.00°, γ = 87.68°
Fractional coordinates of all 18 atoms:
Na: 0.0636 0.6275 0.7500
Na: 0.3363 0.3363 0.0000
Na: 0.3363 0.3363 0.5000
Na: 0.3725 0.9364 0.7500
Na: 0.6275 0.0636 0.2500
Na: 0.6637 0.6637 0.0000
Na: 0.6637 0.6637 0.5000
Na: 0.9364 0.3725 0.2500
Sn: 0.1688 0.8312 0.2500
Sn: 0.8312 0.1688 0.7500
S: 0.1402 0.2407 0.7500
S: 0.2407 0.1402 0.2500
S: 0.2968 0.7032 0.0108
S: 0.2968 0.7032 0.4892
S: 0.7032 0.2968 0.5108
S: 0.7032 0.2968 0.9892
S: 0.7593 0.8598 0.7500
S: 0.8598 0.7593 0.2500

The 10 most intense peaks (2θ = 10–90°), by angle:
- 15.7°, rel. 100
- 20.0°, rel. 54
- 23.6°, rel. 69
- 24.0°, rel. 83
- 28.1°, rel. 59
- 34.3°, rel. 43
- 39.7°, rel. 42
- 41.8°, rel. 54
- 49.3°, rel. 37
- 50.4°, rel. 34

Record 9
The following is a theoretical powder diffractogram of Nd2SmY4Tm2. It was derived from a crystal structure in Alexandria, relaxed with PBE, using CuKα.

Structural model:
a = 6.0065 Å, b = 6.6381 Å, c = 8.6995 Å
α = 80.59°, β = 70.48°, γ = 64.81°
Fractional coordinates of all 9 atoms:
Nd: 0.2319 0.3208 0.3459
Nd: 0.7681 0.6792 0.6541
Sm: 0.5000 0.0000 0.0000
Y: 0.1152 0.1322 0.7587
Y: 0.2416 0.5783 0.8830
Y: 0.7584 0.4217 0.1170
Y: 0.8848 0.8678 0.2413
Tm: 0.3193 0.7677 0.4477
Tm: 0.6807 0.2323 0.5523

The 10 most intense peaks (2θ = 10–90°), by angle:
- 10.8°, rel. 11
- 23.4°, rel. 9
- 29.8°, rel. 27
- 31.5°, rel. 100
- 32.0°, rel. 60
- 33.0°, rel. 9
- 43.1°, rel. 9
- 44.6°, rel. 9
- 47.2°, rel. 11
- 56.8°, rel. 13

Record 10
The following is a theoretical powder diffractogram of Li2Sm3Cd9. It was derived from a crystal structure in Alexandria, relaxed with PBE, using CuKα.

Structural model:
a = 8.6803 Å, b = 8.6803 Å, c = 8.6803 Å
α = 147.85°, β = 103.78°, γ = 85.14°
Fractional coordinates of all 14 atoms:
Li: 0.1678 0.0000 0.1678
Li: 0.8322 0.0000 0.8322
Sm: 0.2112 0.2112 0.0000
Sm: 0.5000 0.5000 0.0000
Sm: 0.7887 0.7887 0.0000
Cd: 0.0000 0.5000 0.5000
Cd: 0.0837 0.3626 0.7211
Cd: 0.2272 0.8602 0.3669
Cd: 0.3585 0.6374 0.7211
Cd: 0.4933 0.8602 0.6331
Cd: 0.5067 0.1398 0.3669
Cd: 0.6415 0.3626 0.2789
Cd: 0.7728 0.1398 0.6331
Cd: 0.9163 0.6374 0.2789

The 10 most intense peaks (2θ = 10–90°), by angle:
- 28.0°, rel. 21
- 31.2°, rel. 45
- 32.7°, rel. 100
- 34.7°, rel. 26
- 37.4°, rel. 35
- 39.1°, rel. 29
- 42.4°, rel. 12
- 47.5°, rel. 10
- 50.5°, rel. 24
- 64.7°, rel. 27

Record 11
The following is a theoretical powder diffractogram of LiH3C2O5. It was derived from a crystal structure in Alexandria, relaxed with PBE, using CuKα.

Structural model:
a = 3.5434 Å, b = 5.1856 Å, c = 6.1594 Å
α = 79.08°, β = 84.84°, γ = 78.40°
Fractional coordinates of all 11 atoms:
Li: 0.0000 0.0000 0.0000
H: 0.3785 0.3683 0.0450
H: 0.4391 0.3219 0.7993
H: 0.7123 0.2164 0.4283
C: 0.0693 0.8608 0.5037
C: 0.2866 0.6248 0.3908
O: 0.0855 0.8624 0.7018
O: 0.2463 0.6411 0.1879
O: 0.4372 0.2238 0.9545
O: 0.4917 0.4344 0.5168
O: 0.8742 0.0495 0.3588

The 10 most intense peaks (2θ = 10–90°), by angle:
- 14.7°, rel. 47
- 25.0°, rel. 16
- 25.7°, rel. 19
- 28.4°, rel. 100
- 29.9°, rel. 16
- 34.2°, rel. 23
- 36.4°, rel. 33
- 36.6°, rel. 21
- 37.4°, rel. 13
- 45.5°, rel. 11

Record 12
The following is a theoretical powder diffractogram of LuZrMn. It was derived from a crystal structure in Alexandria, relaxed with PBE, using CuKα.

Structural model:
a = 3.2432 Å, b = 3.2432 Å, c = 11.8374 Å
α = 90.00°, β = 90.00°, γ = 90.00°
Fractional coordinates of all 6 atoms:
Lu: 0.0000 0.0000 0.0000
Lu: 0.5000 0.5000 0.5000
Zr: 0.0000 0.0000 0.2615
Zr: 0.5000 0.5000 0.7615
Mn: 0.0000 0.0000 0.6465
Mn: 0.5000 0.5000 0.1465

The 10 most intense peaks (2θ = 10–90°), by angle:
- 15.0°, rel. 16
- 28.5°, rel. 49
- 30.2°, rel. 25
- 35.8°, rel. 100
- 39.3°, rel. 55
- 47.6°, rel. 26
- 50.3°, rel. 24
- 56.8°, rel. 19
- 69.0°, rel. 28
- 76.6°, rel. 13

> What is the formula in the third record?

Ba2LiHoRuO6